The following is a calculated XRD peak list of LaPu2PaAs4. It was derived from a structure optimized by DFT (GGA-PBE), using Cu Kα (λ = 1.5418 Å).
Intensities are scaled so that the largest is 100.

Top 6 peaks for 2θ from 5° to 70°, in order of rising 2θ:
2θ (°)  I (rel.)  (hkl)
26.02  39  1 1 2
30.14  100  2 0 0
43.14  76  2 2 0
51.08  20  1 1 6
53.52  27  2 2 4
62.66  13  4 0 0

Structural model:
Cell: 5.930 5.930 11.864 Å, 90.00 90.00 90.00°
Space group I-4m2 (No. 119)
Asymmetric unit:
La 0.000 0.000 0.000 [2 per cell]
Pu 0.000 0.000 0.500 [2 per cell]
Pu 0.000 0.500 0.250 [2 per cell]
Pa 0.000 0.500 0.750 [2 per cell]
As 0.000 0.000 0.256 [4 per cell]
As 0.000 0.500 0.505 [4 per cell]